Calculated PXRD pattern
Compound: MnIrPdO
Radiation: λ = 1.5418 Å (Cu Kα)
Structure: DFT lattice parameters and positions (PBE+U)
Peak positions follow from Bragg's law for the DFT cell and can differ from measured ones.

Crystal structure
```
MnIrPdO
1.0
2.792 0.000 0.000
0.000 2.792 0.000
0.000 0.000 14.078
Mn Ir Pd O
2 2 2 2
Cartesian
0.000 0.000 0.000 Mn
1.396 1.396 7.039 Mn
0.000 0.000 4.896 Ir
1.396 1.396 11.935 Ir
0.000 0.000 10.032 Pd
1.396 1.396 2.993 Pd
0.000 0.000 7.909 O
1.396 1.396 0.870 O
```

Peak list (10 most intense, 2θ from 10° to 90°, by angle)
2theta, I/Imax
12.6, 68.0
32.7, 14.4
37.5, 100.0
38.4, 18.5
45.8, 34.0
46.0, 36.1
61.4, 18.4
71.9, 12.0
79.4, 22.5
85.0, 11.5